For ErH2Rh, a structure optimized by DFT (GGA-PBE) gives the theoretical X-ray powder pattern in this record (Cu Ka).
Peak positions follow from Bragg's law for the DFT cell and can differ from measured ones.

Structural model:
```
data_ErH2Rh
_cell_length_a 5.657
_cell_length_b 5.718
_cell_length_c 7.207
_cell_angle_alpha 90.00
_cell_angle_beta 124.98
_cell_angle_gamma 90.00
_symmetry_space_group_name_H-M 'P 1'
_symmetry_Int_Tables_number 1
loop_
_symmetry_equiv_pos_as_xyz
'x,y,z'
loop_
_atom_site_label
_atom_site_fract_x
_atom_site_fract_y
_atom_site_fract_z
Er1 0.223 0.188 0.418
Er2 0.223 0.312 0.918
Er3 0.777 0.688 0.082
Er4 0.777 0.812 0.582
H1 0.018 0.645 0.917
H2 0.018 0.855 0.417
H3 0.489 0.083 0.268
H4 0.489 0.417 0.768
H5 0.511 0.583 0.232
H6 0.511 0.917 0.732
H7 0.982 0.145 0.583
H8 0.982 0.355 0.083
Rh1 0.270 0.652 0.598
Rh2 0.270 0.848 0.098
Rh3 0.730 0.152 0.902
Rh4 0.730 0.348 0.402
```

Most intense lines, 2θ from 15° to 90°, in order of falling intensity:
| two_theta | intensity | index |
| --- | --- | --- |
| 34.2 | 100 | 0 1 2 |
| 35.4 | 77 | 1 2 -1 |
| 36.4 | 54 | 2 1 -2 |
| 38.9 | 51 | 2 0 0 |
| 32.7 | 44 | 2 0 -2 |
| 31.3 | 33 | 0 2 0 |
| 53.5 | 30 | 2 1 -4 |
| 44.3 | 29 | 1 2 1 |